Structure and simulated powder diffraction line list of CeGaPd4 (a structure optimized by DFT (PBE); Cu Kα (weighted mean of Kα1 and Kα2)).
Peak positions follow from Bragg's law for the DFT cell and can differ from measured ones.

Most intense lines, 10 to 90 degrees two-theta, by angle:
2θ 32.1, d 2.787, rel. 23; 2θ 32.2, d 2.776, rel. 17; 2θ 38.1, d 2.365, rel. 61; 2θ 38.3, d 2.352, rel. 47; 2θ 42.0, d 2.150, rel. 100; 2θ 50.8, d 1.796, rel. 21; 2θ 71.1, d 1.326, rel. 14; 2θ 71.8, d 1.315, rel. 20

a = 17.033 Å, b = 4.703 Å, c = 5.552 Å
α = 90.00°, β = 108.97°, γ = 90.00°
Space group C2/m (No. 12)
One atom of each set of equivalent atoms:
Ce: 0.250 0.000 0.191 (multiplicity 4)
Ga: 0.000 0.000 0.500 (multiplicity 2)
Ga: 0.000 0.500 0.000 (multiplicity 2)
Pd: 0.080 0.000 0.979 (multiplicity 4)
Pd: 0.081 0.500 0.682 (multiplicity 4)
Pd: 0.156 0.000 0.557 (multiplicity 4)
Pd: 0.157 0.500 0.256 (multiplicity 4)